# K2LiTlBr6
Computed X-ray diffraction stick pattern, a wavelength of 1.5418 Å. Input: a DFT-relaxed cell (PBE, the Materials Project).

Main lines, by intensity (10° ≤ 2θ ≤ 90°):
32.5 deg, 2.752 Å, I 100; 16.1 deg, 5.504 Å, I 73; 46.7 deg, 1.946 Å, I 71; 13.9 deg, 6.355 Å, I 56; 28.1 deg, 3.178 Å, I 46; 26.9 deg, 3.319 Å, I 41; 36.5 deg, 2.461 Å, I 40; 77.6 deg, 1.231 Å, I 31; 58.1 deg, 1.589 Å, I 24; 86.7 deg, 1.123 Å, I 24

Cell and atoms:
Cell: 7.7837 7.7837 7.7837 Å, 60.00 60.00 60.00°
Atoms (fractional coordinates):
1 K 0.2500 0.2500 0.2500
2 K 0.7500 0.7500 0.7500
3 Li 0.0000 0.0000 0.0000
4 Tl 0.5000 0.5000 0.5000
5 Br 0.2477 0.2477 0.7523
6 Br 0.2477 0.7523 0.2477
7 Br 0.2477 0.7523 0.7523
8 Br 0.7523 0.2477 0.2477
9 Br 0.7523 0.2477 0.7523
10 Br 0.7523 0.7523 0.2477

# Rb3Cr20Se32
Computed X-ray diffraction stick pattern, a wavelength of 1.5418 Å. Input: a DFT-relaxed cell (PBE, the Materials Project).

Main lines, by intensity (10° ≤ 2θ ≤ 90°):
31.4 deg, 2.853 Å, I 100; 49.9 deg, 1.826 Å, I 57; 31.1 deg, 2.875 Å, I 46; 32.8 deg, 2.734 Å, I 36; 32.7 deg, 2.738 Å, I 34; 33.2 deg, 2.695 Å, I 30; 49.7 deg, 1.833 Å, I 30; 44.6 deg, 2.030 Å, I 29; 37.1 deg, 2.424 Å, I 26; 30.2 deg, 2.958 Å, I 25

Cell and atoms:
Cell: 10.9652 11.5762 11.7316 Å, 68.85 81.58 62.70°
Atoms (fractional coordinates):
1 Rb 0.0000 0.0000 0.0000
2 Rb 0.2682 0.7317 0.2681
3 Rb 0.7318 0.2683 0.7319
4 Cr 0.0432 0.6415 0.8781
5 Cr 0.0875 0.3224 0.5138
6 Cr 0.1258 0.8745 0.6242
7 Cr 0.1625 0.4289 0.7356
8 Cr 0.2079 0.1073 0.3728
9 Cr 0.2937 0.3907 0.1293
10 Cr 0.3383 0.0710 0.7642
11 Cr 0.3756 0.6247 0.8743
12 Cr 0.4112 0.1793 0.9852
13 Cr 0.4571 0.8589 0.6214
14 Cr 0.5429 0.1411 0.3786
15 Cr 0.5888 0.8207 0.0148
16 Cr 0.6244 0.3753 0.1257
17 Cr 0.6617 0.9290 0.2358
18 Cr 0.7063 0.6093 0.8707
19 Cr 0.7921 0.8927 0.6272
20 Cr 0.8375 0.5711 0.2644
21 Cr 0.8742 0.1255 0.3758
22 Cr 0.9125 0.6776 0.4862
23 Cr 0.9568 0.3585 0.1219
24 Se 0.0155 0.1336 0.5219
25 Se 0.0701 0.1043 0.2249
26 Se 0.0938 0.2492 0.7418
27 Se 0.0953 0.3819 0.2738
28 Se 0.1543 0.3683 0.9759
29 Se 0.1561 0.5005 0.5083
30 Se 0.1814 0.6443 0.0264
31 Se 0.2345 0.6161 0.7282
32 Se 0.2656 0.8837 0.7718
33 Se 0.3205 0.8551 0.4754
34 Se 0.3443 0.9985 0.9923
35 Se 0.3455 0.1325 0.5238
36 Se 0.4044 0.1176 0.2264
37 Se 0.4055 0.2506 0.7580
38 Se 0.4316 0.3928 0.2766
39 Se 0.4841 0.3663 0.9784
40 Se 0.5159 0.6337 0.0216
41 Se 0.5684 0.6072 0.7234
42 Se 0.5945 0.7494 0.2420
43 Se 0.5956 0.8824 0.7736
44 Se 0.6545 0.8675 0.4762
45 Se 0.6557 0.0015 0.0077
46 Se 0.6795 0.1449 0.5246
47 Se 0.7344 0.1163 0.2282
48 Se 0.7655 0.3839 0.2718
49 Se 0.8186 0.3557 0.9736
50 Se 0.8439 0.4995 0.4917
51 Se 0.8457 0.6317 0.0241
52 Se 0.9047 0.6181 0.7262
53 Se 0.9062 0.7508 0.2582
54 Se 0.9299 0.8957 0.7751
55 Se 0.9845 0.8664 0.4781

# Ho3Ge13Os4
Computed X-ray diffraction stick pattern, a wavelength of 1.5418 Å. Input: a DFT-relaxed cell (PBE, the Materials Project).

Main lines, by intensity (10° ≤ 2θ ≤ 90°):
35.7 deg, 2.512 Å, I 100; 39.8 deg, 2.264 Å, I 58; 34.3 deg, 2.615 Å, I 53; 49.3 deg, 1.849 Å, I 50; 19.6 deg, 4.529 Å, I 46; 37.1 deg, 2.421 Å, I 38; 68.8 deg, 1.365 Å, I 38; 44.7 deg, 2.025 Å, I 35; 27.9 deg, 3.202 Å, I 23; 57.6 deg, 1.601 Å, I 22

Cell and atoms:
Cell: 9.0571 9.0571 9.0571 Å, 90.00 90.00 90.00°
Atoms (fractional coordinates):
1 Ho 0.0000 0.2500 0.5000
2 Ho 0.0000 0.7500 0.5000
3 Ho 0.2500 0.5000 0.0000
4 Ho 0.5000 0.0000 0.2500
5 Ho 0.5000 0.0000 0.7500
6 Ho 0.7500 0.5000 0.0000
7 Ge 0.0000 0.0000 0.0000
8 Ge 0.0000 0.3010 0.1456
9 Ge 0.0000 0.3010 0.8544
10 Ge 0.0000 0.6990 0.1456
11 Ge 0.0000 0.6990 0.8544
12 Ge 0.1456 0.0000 0.3010
13 Ge 0.1456 0.0000 0.6990
14 Ge 0.1990 0.5000 0.3544
15 Ge 0.1990 0.5000 0.6456
16 Ge 0.3010 0.1456 0.0000
17 Ge 0.3010 0.8544 0.0000
18 Ge 0.3544 0.1990 0.5000
19 Ge 0.3544 0.8010 0.5000
20 Ge 0.5000 0.3544 0.1990
21 Ge 0.5000 0.3544 0.8010
22 Ge 0.5000 0.5000 0.5000
23 Ge 0.5000 0.6456 0.1990
24 Ge 0.5000 0.6456 0.8010
25 Ge 0.6456 0.1990 0.5000
26 Ge 0.6456 0.8010 0.5000
27 Ge 0.6990 0.1456 0.0000
28 Ge 0.6990 0.8544 0.0000
29 Ge 0.8010 0.5000 0.3544
30 Ge 0.8010 0.5000 0.6456
31 Ge 0.8544 0.0000 0.3010
32 Ge 0.8544 0.0000 0.6990
33 Os 0.2500 0.2500 0.2500
34 Os 0.2500 0.2500 0.7500
35 Os 0.2500 0.7500 0.2500
36 Os 0.2500 0.7500 0.7500
37 Os 0.7500 0.2500 0.2500
38 Os 0.7500 0.2500 0.7500
39 Os 0.7500 0.7500 0.2500
40 Os 0.7500 0.7500 0.7500

# Ba4MgC4N8F2
Computed X-ray diffraction stick pattern, a wavelength of 1.5418 Å. Input: a DFT-relaxed cell (PBE, the Materials Project).

Main lines, by intensity (10° ≤ 2θ ≤ 90°):
29.7 deg, 3.008 Å, I 100; 33.1 deg, 2.710 Å, I 55; 22.2 deg, 4.013 Å, I 39; 23.3 deg, 3.810 Å, I 33; 47.9 deg, 1.900 Å, I 29; 43.3 deg, 2.088 Å, I 23; 34.9 deg, 2.574 Å, I 23; 27.7 deg, 3.219 Å, I 22; 23.5 deg, 3.781 Å, I 21; 44.7 deg, 2.027 Å, I 21

Cell and atoms:
Cell: 8.4918 8.6399 8.5569 Å, 90.00 109.07 90.00°
Atoms (fractional coordinates):
1 Ba 0.2110 0.1672 0.0872
2 Ba 0.2110 0.3328 0.5872
3 Ba 0.2439 0.6712 0.2431
4 Ba 0.2439 0.8288 0.7431
5 Ba 0.7561 0.1712 0.2569
6 Ba 0.7561 0.3288 0.7569
7 Ba 0.7890 0.6672 0.4128
8 Ba 0.7890 0.8328 0.9128
9 Mg 0.5000 0.0000 0.5000
10 Mg 0.5000 0.5000 0.0000
11 C 0.0765 0.5550 0.8403
12 C 0.0765 0.9450 0.3403
13 C 0.4948 0.1454 0.8543
14 C 0.4948 0.3546 0.3543
15 C 0.5052 0.6454 0.6457
16 C 0.5052 0.8546 0.1457
17 C 0.9235 0.0550 0.6597
18 C 0.9235 0.4450 0.1597
19 N 0.0619 0.1126 0.7332
20 N 0.0619 0.3874 0.2332
21 N 0.2172 0.5009 0.9105
22 N 0.2172 0.9991 0.4105
23 N 0.4894 0.2485 0.9529
24 N 0.4894 0.2515 0.4529
25 N 0.4990 0.5443 0.7458
26 N 0.4990 0.9557 0.2458
27 N 0.5010 0.0443 0.7542
28 N 0.5010 0.4557 0.2542
29 N 0.5106 0.7485 0.5471
30 N 0.5106 0.7515 0.0471
31 N 0.7828 0.0009 0.5895
32 N 0.7828 0.4991 0.0895
33 N 0.9381 0.6126 0.7668
34 N 0.9381 0.8874 0.2668
35 F 0.1297 0.6308 0.5023
36 F 0.1297 0.8692 0.0023
37 F 0.8703 0.1308 0.9977
38 F 0.8703 0.3692 0.4977

# CoCuS4
Computed X-ray diffraction stick pattern, a wavelength of 1.5418 Å. Input: a DFT-relaxed cell (PBE, the Materials Project).

Main lines, by intensity (10° ≤ 2θ ≤ 90°):
32.0 deg, 2.796 Å, I 100; 31.2 deg, 2.871 Å, I 58; 35.9 deg, 2.499 Å, I 31; 27.2 deg, 3.276 Å, I 30; 45.3 deg, 2.003 Å, I 27; 54.0 deg, 1.698 Å, I 27; 45.9 deg, 1.977 Å, I 27; 54.2 deg, 1.693 Å, I 24; 53.4 deg, 1.714 Å, I 24; 27.5 deg, 3.238 Å, I 24

Cell and atoms:
Cell: 5.7425 5.5932 5.5925 Å, 90.00 91.00 90.00°
Atoms (fractional coordinates):
1 Co 0.0000 0.0000 0.0000
2 Co 0.0000 0.5000 0.5000
3 Cu 0.5000 0.0000 0.5000
4 Cu 0.5000 0.5000 0.0000
5 S 0.0921 0.1175 0.6180
6 S 0.0921 0.3825 0.1180
7 S 0.3834 0.5971 0.6000
8 S 0.3834 0.9029 0.1000
9 S 0.6166 0.0971 0.9000
10 S 0.6166 0.4029 0.4000
11 S 0.9079 0.6175 0.8820
12 S 0.9079 0.8825 0.3820

# Al3Ni2Pt
Computed X-ray diffraction stick pattern, a wavelength of 1.5418 Å. Input: a DFT-relaxed cell (PBE, the Materials Project).

Main lines, by intensity (10° ≤ 2θ ≤ 90°):
43.2 deg, 2.095 Å, I 100; 30.1 deg, 2.966 Å, I 32; 79.1 deg, 1.210 Å, I 22; 30.2 deg, 2.956 Å, I 16; 31.8 deg, 2.813 Å, I 16; 53.6 deg, 1.711 Å, I 13; 36.4 deg, 2.466 Å, I 13; 62.6 deg, 1.483 Å, I 11; 71.1 deg, 1.326 Å, I 11; 79.3 deg, 1.208 Å, I 10

Cell and atoms:
Cell: 2.9663 2.9663 8.8684 Å, 90.00 90.00 90.00°
Atoms (fractional coordinates):
1 Al 0.0000 0.0000 0.0000
2 Al 0.0000 0.0000 0.3163
3 Al 0.0000 0.0000 0.6837
4 Ni 0.5000 0.5000 0.1657
5 Ni 0.5000 0.5000 0.8343
6 Pt 0.5000 0.5000 0.5000

> Which formula does entry 6 have?

Al3Ni2Pt